(1)
Simulated X-ray powder pattern of Ac2PrSm3Y6 for Cu Kα (weighted mean of Kα1 and Kα2), from DFT lattice parameters and positions (PBE).

Cell and atoms:
```
Ac2PrSm3Y6
1.0
3.1927 -5.5289 0.0000
3.1927 5.5289 0.0000
-2.1231 0.0000 11.7894
Ac Pr Sm Y
2 1 3 6
direct
0.1667 0.8333 0.0000 Ac
0.8333 0.1667 0.0000 Ac
0.5000 0.5000 0.0000 Pr
0.0000 0.0000 0.5000 Sm
0.3335 0.6665 0.5000 Sm
0.6665 0.3335 0.5000 Sm
0.0834 0.4149 0.7441 Y
0.2537 0.2537 0.2558 Y
0.4149 0.0834 0.7441 Y
0.5851 0.9166 0.2559 Y
0.7463 0.7463 0.7442 Y
0.9166 0.5851 0.2559 Y
```

Peak list (10 most intense, 2θ = 5–70°, in order of rising 2θ)
2θ (°)  I/Imax
15.0  14.9
29.8  100.0
30.3  31.5
34.7  66.5
49.4  24.4
50.2  23.0
58.8  14.5
59.1  28.3
59.8  13.5
61.8  12.4

(2)
Simulated X-ray powder pattern of Ac3Pr2Sn3 for Cu Kα (weighted mean of Kα1 and Kα2), from DFT lattice parameters and positions (PBE).

Cell and atoms:
```
Ac3Pr2Sn3
1.0
9.7364 0.0000 0.0000
-4.8682 8.4320 0.0000
0.0000 0.0000 7.0145
Ac Pr Sn
6 4 6
direct
0.0000 0.2478 0.2500 Ac
0.0000 0.7522 0.7500 Ac
0.2478 0.0000 0.2500 Ac
0.2478 0.2478 0.7500 Ac
0.7522 0.0000 0.7500 Ac
0.7522 0.7522 0.2500 Ac
0.3333 0.6667 0.0000 Pr
0.3333 0.6667 0.5000 Pr
0.6667 0.3333 0.0000 Pr
0.6667 0.3333 0.5000 Pr
0.0000 0.3978 0.7500 Sn
0.0000 0.6022 0.2500 Sn
0.3978 0.0000 0.7500 Sn
0.3978 0.3978 0.2500 Sn
0.6022 0.0000 0.2500 Sn
0.6022 0.6022 0.7500 Sn
```

Peak list (10 most intense, 2θ = 5–70°, in order of rising 2θ)
2θ (°)  I/Imax
25.4  20.2
27.5  15.9
28.0  26.5
30.8  100.0
31.4  56.5
31.8  30.2
45.4  13.9
48.3  29.6
48.8  15.2
50.5  18.3

(3)
Simulated X-ray powder pattern of Ac8PrSn6 for Cu Kα (weighted mean of Kα1 and Kα2), from DFT lattice parameters and positions (PBE).

Cell and atoms:
```
Ac8PrSn6
1.0
4.9261 2.8441 7.0243
-4.9261 2.8441 7.0243
0.0000 -5.6882 7.0243
Ac Pr Sn
8 1 6
direct
0.0602 0.3960 0.7309 Ac
0.1658 0.1658 0.1658 Ac
0.2691 0.9398 0.6040 Ac
0.3960 0.7309 0.0602 Ac
0.6040 0.2691 0.9398 Ac
0.7309 0.0602 0.3960 Ac
0.8342 0.8342 0.8342 Ac
0.9398 0.6040 0.2691 Ac
0.5000 0.5000 0.5000 Pr
0.1060 0.7614 0.4342 Sn
0.2386 0.5658 0.8940 Sn
0.4342 0.1060 0.7614 Sn
0.5658 0.8940 0.2386 Sn
0.7614 0.4342 0.1060 Sn
0.8940 0.2386 0.5658 Sn
```

Peak list (10 most intense, 2θ = 5–70°, in order of rising 2θ)
2θ (°)  I/Imax
22.0  50.5
31.3  94.2
31.5  100.0
40.8  12.4
45.0  35.4
55.6  19.8
55.9  37.7
56.0  20.1
65.3  12.3
65.7  12.6

(4)
Simulated X-ray powder pattern of SrAc6Pr8 for Cu Kα (weighted mean of Kα1 and Kα2), from DFT lattice parameters and positions (PBE).

Cell and atoms:
```
SrAc6Pr8
1.0
10.7118 0.0000 0.0000
-5.3559 9.2767 0.0000
0.0000 0.0000 6.3706
Sr Ac Pr
1 6 8
direct
0.0000 0.0000 0.0000 Sr
0.1483 0.4428 0.9947 Ac
0.2945 0.8517 0.9947 Ac
0.4428 0.2945 0.0053 Ac
0.5572 0.7055 0.9947 Ac
0.7055 0.1483 0.0053 Ac
0.8517 0.5572 0.0053 Ac
0.0263 0.6871 0.5062 Pr
0.3129 0.3392 0.5062 Pr
0.3333 0.6667 0.4936 Pr
0.3392 0.0263 0.4938 Pr
0.6608 0.9737 0.5062 Pr
0.6667 0.3333 0.5064 Pr
0.6871 0.6608 0.4938 Pr
0.9737 0.3129 0.4938 Pr
```

Peak list (10 most intense, 2θ = 5–70°, in order of rising 2θ)
2θ (°)  I/Imax
9.5  19.5
25.4  28.1
28.0  40.4
29.1  100.0
32.2  43.4
38.2  19.8
47.1  19.7
50.2  22.5
52.2  21.9
60.3  14.1

Copy entry 3 word for word.
Simulated X-ray powder pattern of Ac8PrSn6 for Cu Kα (weighted mean of Kα1 and Kα2), from DFT lattice parameters and positions (PBE).

Cell and atoms:
```
Ac8PrSn6
1.0
4.9261 2.8441 7.0243
-4.9261 2.8441 7.0243
0.0000 -5.6882 7.0243
Ac Pr Sn
8 1 6
direct
0.0602 0.3960 0.7309 Ac
0.1658 0.1658 0.1658 Ac
0.2691 0.9398 0.6040 Ac
0.3960 0.7309 0.0602 Ac
0.6040 0.2691 0.9398 Ac
0.7309 0.0602 0.3960 Ac
0.8342 0.8342 0.8342 Ac
0.9398 0.6040 0.2691 Ac
0.5000 0.5000 0.5000 Pr
0.1060 0.7614 0.4342 Sn
0.2386 0.5658 0.8940 Sn
0.4342 0.1060 0.7614 Sn
0.5658 0.8940 0.2386 Sn
0.7614 0.4342 0.1060 Sn
0.8940 0.2386 0.5658 Sn
```

Peak list (10 most intense, 2θ = 5–70°, in order of rising 2θ)
2θ (°)  I/Imax
22.0  50.5
31.3  94.2
31.5  100.0
40.8  12.4
45.0  35.4
55.6  19.8
55.9  37.7
56.0  20.1
65.3  12.3
65.7  12.6